# DyCr2GeO6
Simulated PXRD pattern, λ = 1.5418 Å (Cu Kα). Input: DFT lattice parameters and positions (PBE+U).
No peak broadening, texture or thermal motion is included.

Main lines, by intensity (15 to 90 degrees two-theta):
hkl  Position (°2θ)  I/Imax
1 1 1  23.40  100
1 0 1  31.02  78
1 1 -1  31.17  77
-1 1 1  33.98  68
0 1 2  32.14  65
1 2 1  34.12  61
2 1 0  34.49  59
2 0 -2  47.86  52
0 1 0  22.38  48
-1 1 3  52.32  36
0 2 0  45.67  31
0 0 2  36.98  26

Structure:
```
data_DyCr2GeO6
_cell_length_a 5.2011
_cell_length_b 5.2617
_cell_length_c 5.6167
_cell_angle_alpha 64.17
_cell_angle_beta 89.96
_cell_angle_gamma 60.64
_symmetry_space_group_name_H-M 'P 1'
_symmetry_Int_Tables_number 1
loop_
_symmetry_equiv_pos_as_xyz
'x,y,z'
loop_
_atom_site_label
_atom_site_type_symbol
_atom_site_fract_x
_atom_site_fract_y
_atom_site_fract_z
Dy1 Dy 0.0000 0.0000 0.0000
Cr1 Cr 0.2133 0.5744 0.6184
Cr2 Cr 0.7175 0.5486 0.1605
Ge1 Ge 0.5231 0.9560 0.5531
O1 O 0.1754 0.0225 0.3672
O2 O 0.3237 0.1025 0.8010
O3 O 0.4358 0.4108 0.3644
O4 O 0.5786 0.5040 0.8293
O5 O 0.8016 0.7708 0.3620
O6 O 0.9094 0.7434 0.8249
```